Theoretical PXRD pattern
Compound: Mg2HIr6
Radiation: Cu Kα, 1.54184 Å
Structure: a structure optimized by DFT (PBE)
Neutral-atom scattering factors, no anomalous dispersion.

Top 10 peaks for 2θ from 10° to 90°, most intense first:
2θ (°)  I (rel.)  (hkl)
42.40  100  1 -1 2
42.57  59  2 0 -2
40.36  40  2 -2 0
37.06  36  1 1 0
55.95  22  3 -1 0
19.86  18  1 -1 0
20.93  18  1 0 -1
82.39  18  3 1 0
67.06  17  1 1 -4
20.90  16  0 1 -1

Structural model:
Unit cell a=5.2660 b=5.2726 c=5.5840 alpha=105.28 beta=105.11 gamma=116.04
Positions (direct):
Mg1 0.0000 0.0000 0.0000
Mg2 0.4977 0.4860 0.4922
H1 0.8360 0.4972 0.8282
Ir1 0.0887 0.5919 0.1765
Ir2 0.0953 0.5790 0.6583
Ir3 0.4885 0.4841 0.0065
Ir4 0.5662 0.0682 0.6546
Ir5 0.5896 0.0719 0.1610
Ir6 0.9865 0.9863 0.5062